Diffraction record for Ac2CrH2O6. The PXRD pattern is theoretical, not measured: it uses DFT lattice parameters and positions (GGA+U) and Cu Kα (λ = 1.5418 Å).

Structural model:
```
Ac2CrH2O6
1.0
2.6407 1.5246 4.9611
-2.6407 1.5246 4.9611
0.0000 -3.0493 4.9611
Ac Cr H O
2 1 2 6
direct
0.2382 0.2382 0.2382
0.7618 0.7618 0.7618
0.0000 0.0000 0.0000
0.4163 0.4163 0.4163
0.5837 0.5837 0.5837
0.2492 0.2492 0.7367
0.2492 0.7367 0.2492
0.2633 0.7508 0.7508
0.7367 0.2492 0.2492
0.7508 0.2633 0.7508
0.7508 0.7508 0.2633
```

Top 10 peaks for 5 to 70 degrees two-theta, sorted by position:
| d_spacing | Position (°2θ) | I (rel.) |
| --- | --- | --- |
| 3.897 | 22.82 | 100 |
| 2.886 | 30.98 | 78 |
| 2.641 | 33.95 | 69 |
| 2.481 | 36.21 | 18 |
| 2.186 | 41.30 | 43 |
| 1.948 | 46.62 | 42 |
| 1.808 | 50.48 | 22 |
| 1.723 | 53.15 | 14 |
| 1.684 | 54.49 | 22 |
| 1.568 | 58.91 | 27 |